For Ba3NiIr2O9, a structure optimized by DFT (PBE+U) gives the theoretical X-ray powder pattern in this record (Cu Kα).
Peak positions follow from Bragg's law for the DFT cell and can differ from measured ones.

Structural model:
a b c (Å): 5.823 5.823 14.351
angles (deg): 90.00 90.00 120.00
Fractional coordinates of all 30 atoms:
Ba 0.000 0.000 0.250
Ba 0.000 0.000 0.750
Ba 0.333 0.667 0.083
Ba 0.333 0.667 0.417
Ba 0.667 0.333 0.583
Ba 0.667 0.333 0.917
Ni 0.000 0.000 0.000
Ni 0.000 0.000 0.500
Ir 0.333 0.667 0.660
Ir 0.333 0.667 0.840
Ir 0.667 0.333 0.160
Ir 0.667 0.333 0.340
O 0.021 0.511 0.750
O 0.172 0.344 0.583
O 0.172 0.344 0.917
O 0.172 0.828 0.583
O 0.172 0.828 0.917
O 0.344 0.172 0.083
O 0.344 0.172 0.417
O 0.489 0.511 0.750
O 0.489 0.979 0.750
O 0.511 0.021 0.250
O 0.511 0.489 0.250
O 0.656 0.828 0.583
O 0.656 0.828 0.917
O 0.828 0.172 0.083
O 0.828 0.172 0.417
O 0.828 0.656 0.083
O 0.828 0.656 0.417
O 0.979 0.489 0.250

Peak list (10 most intense, 2θ = 15–90°, low angle first)
2θ (°), I (rel.), (hkl)
18.65, 36, 1 0 1
30.58, 43, 1 0 4
30.71, 100, 1 1 0
36.00, 35, 1 0 5
43.89, 25, 2 0 4
48.03, 20, 2 0 5
54.56, 37, 3 0 0
58.10, 19, 2 1 5
63.96, 18, 2 2 0
88.93, 16, 4 1 0